Record 1
For Tb3Sm6Ho2Pu, a DFT-relaxed cell (GGA-PBE, Alexandria) gives the calculated powder X-ray diffraction pattern in this record (Cu Kα (weighted mean of Kα1 and Kα2)).

Peak list (10 most intense, 2θ = 10–90°, low angle first)
2θ (°)	intensity	hkl
30.6	100	1 3 1
30.8	33	0 0 4
35.5	67	2 0 2
51.0	24	0 6 0
51.3	24	1 3 5
60.7	24	4 0 0
61.0	14	2 0 6
63.7	12	2 6 2
83.1	12	4 6 0
85.8	11	5 3 1

Crystal structure
abc: 6.2028 10.7484 11.7933
angles: 90.00 100.13 90.00
Space group C2/m (No. 12)
Symmetry-distinct sites (fractional):
Tb 0.0000 0.0000 0.0000 (multiplicity 2)
Tb 0.0000 0.3332 0.0000 (multiplicity 4)
Sm 0.2475 0.3350 0.7475 (multiplicity 8)
Sm 0.2474 0.5000 0.2527 (multiplicity 4)
Ho 0.0000 0.1665 0.5000 (multiplicity 4)
Pu 0.0000 0.5000 0.5000 (multiplicity 2)

Record 2
For K3Sr2OsO6, a DFT-relaxed cell (GGA-PBE, Alexandria) gives the calculated powder X-ray diffraction pattern in this record (Cu Kα (weighted mean of Kα1 and Kα2)).

Peak list (10 most intense, 2θ = 10–90°, low angle first)
2θ (°)	intensity	hkl
14.4	70	0 0 1
17.4	18	1 1 0
28.9	30	0 0 2
29.6	26	1 3 0
30.8	72	2 0 0
35.1	100	1 3 1
45.3	16	1 3 2
49.4	32	2 0 2
51.7	30	3 3 -1
60.3	17	3 3 -3

Crystal structure
abc: 6.1229 10.6073 6.5030
angles: 90.00 108.42 90.00
Space group C2/m (No. 12)
Symmetry-distinct sites (fractional):
K 0.0000 0.0000 0.0000 (multiplicity 2)
K 0.0000 0.3387 0.0000 (multiplicity 4)
Sr 0.0000 0.1670 0.5000 (multiplicity 4)
Os 0.0000 0.5000 0.5000 (multiplicity 2)
O 0.2007 0.3623 0.6886 (multiplicity 8)
O 0.2137 0.5000 0.3137 (multiplicity 4)

Record 3
For NdNi5Ge3, a DFT-relaxed cell (GGA-PBE, Alexandria) gives the calculated powder X-ray diffraction pattern in this record (Cu Kα (weighted mean of Kα1 and Kα2)).

Peak list (10 most intense, 2θ = 10–90°, low angle first)
2θ (°)	intensity	hkl
30.5	33	0 4 1
32.5	39	1 3 0
33.7	100	1 1 3
35.9	95	1 3 2
39.4	65	1 1 4
44.5	33	1 5 0
47.2	44	1 5 2
48.2	68	2 0 0
50.4	30	1 5 3
50.8	44	0 6 3

Crystal structure
abc: 3.7764 12.1041 11.8380
angles: 90.00 90.00 90.00
Space group Cmcm (No. 63)
Symmetry-distinct sites (fractional):
Nd 0.0000 0.1620 0.2500 (multiplicity 4)
Ni 0.0000 0.0000 0.0000 (multiplicity 4)
Ni 0.0000 0.1935 0.5659 (multiplicity 8)
Ni 0.0000 0.4486 0.1444 (multiplicity 8)
Ge 0.0000 0.1123 0.7500 (multiplicity 4)
Ge 0.0000 0.3806 0.5436 (multiplicity 8)

Record 4
For La2Ce2Pb3, a DFT-relaxed cell (GGA-PBE, Alexandria) gives the calculated powder X-ray diffraction pattern in this record (Cu Kα (weighted mean of Kα1 and Kα2)).

Peak list (10 most intense, 2θ = 10–90°, low angle first)
2θ (°)	intensity	hkl
11.1	14	0 0 1
27.3	52	2 0 2
27.7	100	3 1 -1
38.8	41	1 1 -3
39.2	20	0 2 0
39.9	38	5 1 1
40.0	19	6 0 -2
48.5	22	2 2 2
65.4	18	8 2 0
70.8	14	1 3 -3

Crystal structure
abc: 14.7939 4.5948 8.0814
angles: 90.00 99.94 90.00
Space group C2/m (No. 12)
Symmetry-distinct sites (fractional):
La 0.1246 0.0000 0.3743 (multiplicity 4)
Ce 0.1270 0.5000 0.8831 (multiplicity 4)
Pb 0.0000 0.0000 0.0000 (multiplicity 2)
Pb 0.2465 0.0000 0.7492 (multiplicity 4)